Record 1
NaNi2Ag2: theoretical powder diffractogram (Cu Kα (λ = 1.5418 Å)), based on DFT lattice parameters and positions (GGA-PBE).

Top 8 peaks for 10 to 80 degrees two-theta, in order of falling intensity:
| two_theta | intensity |
| --- | --- |
| 42.20 | 100.0 |
| 16.02 | 44.9 |
| 36.30 | 37.3 |
| 47.93 | 31.8 |
| 41.61 | 22.6 |
| 22.72 | 21.6 |
| 40.52 | 20.6 |
| 25.45 | 18.7 |

```
NaNi2Ag2
1.0
7.826 0.000 0.000
0.000 7.826 0.000
0.000 0.000 2.707
Na Ni Ag
2 4 4
Direct
0.000 0.000 0.000
0.500 0.500 0.000
0.111 0.389 0.500
0.389 0.889 0.500
0.611 0.111 0.500
0.889 0.611 0.500
0.181 0.681 0.000
0.319 0.181 0.000
0.681 0.819 0.000
0.819 0.319 0.000
```



Record 2
NaNp3Ag2S8: theoretical powder diffractogram (Cu Kα (λ = 1.5418 Å)), based on DFT lattice parameters and positions (GGA-PBE).

Top 8 peaks for 10 to 80 degrees two-theta, in order of falling intensity:
| two_theta | intensity |
| --- | --- |
| 32.01 | 100.0 |
| 25.74 | 91.4 |
| 14.46 | 79.6 |
| 26.29 | 72.5 |
| 13.45 | 67.3 |
| 44.52 | 66.4 |
| 27.10 | 55.2 |
| 47.24 | 50.9 |

```
NaNp3Ag2S8
1.0
4.070 2.350 6.124
-4.070 2.350 6.124
0.000 -4.700 6.124
Na Np Ag S
1 3 2 8
Direct
0.000 0.000 0.000
0.104 0.607 0.607
0.607 0.104 0.607
0.607 0.607 0.104
0.225 0.225 0.225
0.591 0.591 0.591
0.350 0.350 0.833
0.350 0.833 0.350
0.365 0.365 0.365
0.403 0.843 0.843
0.833 0.350 0.350
0.843 0.403 0.843
0.843 0.843 0.403
0.847 0.847 0.847
```



Record 3
Na2NpAgSe4: theoretical powder diffractogram (Cu Kα (λ = 1.5418 Å)), based on DFT lattice parameters and positions (GGA-PBE).

Top 8 peaks for 10 to 80 degrees two-theta, in order of falling intensity:
| two_theta | intensity |
| --- | --- |
| 30.37 | 100.0 |
| 12.53 | 89.0 |
| 31.33 | 45.2 |
| 42.45 | 37.6 |
| 45.88 | 31.6 |
| 25.44 | 26.0 |
| 43.25 | 19.1 |
| 54.37 | 18.7 |

```
Na2NpAgSe4
1.0
6.733 0.000 0.000
0.000 4.184 0.000
-2.321 0.000 7.062
Na Np Ag Se
2 1 1 4
Direct
0.000 0.000 0.000
0.500 0.500 0.000
0.000 0.500 0.500
0.500 0.000 0.500
0.239 0.000 0.725
0.243 0.500 0.269
0.757 0.500 0.731
0.761 0.000 0.275
```



Record 4
NaAgO: theoretical powder diffractogram (Cu Kα (λ = 1.5418 Å)), based on DFT lattice parameters and positions (GGA-PBE).

Top 8 peaks for 10 to 80 degrees two-theta, in order of falling intensity:
| two_theta | intensity |
| --- | --- |
| 31.74 | 100.0 |
| 17.22 | 85.7 |
| 45.21 | 84.8 |
| 26.46 | 51.8 |
| 31.35 | 43.1 |
| 47.56 | 39.7 |
| 35.98 | 35.9 |
| 34.84 | 34.6 |

```
NaAgO
1.0
5.707 0.000 0.000
0.000 3.369 0.000
0.000 0.000 5.150
Na Ag O
2 2 2
Direct
0.000 0.000 0.000
0.500 0.000 0.000
0.000 0.500 0.500
0.500 0.500 0.500
0.250 0.500 0.196
0.750 0.500 0.804
```



Record 5
Na2PuAgO5: theoretical powder diffractogram (Cu Kα (λ = 1.5418 Å)), based on DFT lattice parameters and positions (GGA-PBE).

Top 8 peaks for 10 to 80 degrees two-theta, in order of falling intensity:
| two_theta | intensity |
| --- | --- |
| 30.60 | 100.0 |
| 15.73 | 87.3 |
| 45.34 | 45.1 |
| 26.08 | 43.0 |
| 17.48 | 30.6 |
| 41.56 | 26.1 |
| 35.38 | 24.3 |
| 31.77 | 19.8 |

```
Na2PuAgO5
1.0
-2.138 2.842 5.633
2.138 -2.842 5.633
2.138 2.842 -5.633
Na Pu Ag O
2 1 1 5
Direct
0.221 0.221 0.000
0.779 0.779 0.000
0.000 0.500 0.500
0.500 0.000 0.500
0.000 0.000 0.000
0.112 0.375 0.736
0.361 0.625 0.736
0.639 0.375 0.264
0.888 0.625 0.264
```



Record 6
Na2AgSbO4: theoretical powder diffractogram (Cu Kα (λ = 1.5418 Å)), based on DFT lattice parameters and positions (GGA-PBE).

Top 8 peaks for 10 to 80 degrees two-theta, in order of falling intensity:
| two_theta | intensity |
| --- | --- |
| 41.32 | 100.0 |
| 20.30 | 89.4 |
| 28.89 | 80.3 |
| 35.61 | 39.4 |
| 51.20 | 26.5 |
| 67.77 | 25.1 |
| 55.64 | 23.7 |
| 75.30 | 17.4 |

```
Na2AgSbO4
1.0
-3.093 3.093 3.085
3.093 -3.093 3.085
3.093 3.093 -3.085
Na Ag Sb O
2 1 1 4
Direct
0.000 0.500 0.500
0.500 0.000 0.500
0.000 0.000 0.000
0.500 0.500 0.000
0.142 0.503 0.000
0.497 0.497 0.639
0.503 0.142 0.000
0.858 0.858 0.361
```